No. 1
Structure and simulated XRD peak list of NaMn2Br6 (the PBE geometry in Alexandria; copper Kα).
No peak broadening, texture or thermal motion is included.

Cell and atoms:
Unit cell a=6.7545 b=6.7545 c=6.6393 alpha=90.00 beta=90.00 gamma=120.00
Space group P-31m (No. 162)
Unique sites:
Na (0.0000, 0.0000, 0.0000)
Mn (0.3333, 0.6667, 0.5000)
Br (0.0000, 0.3674, 0.7256)

Principal peaks in the range 2θ from 10° to 80°, by angle:
2θ/deg  I_rel  index
13.34  19.0  0 0 1
15.15  12.5  1 0 0
20.23  13.1  1 0 1
26.86  14.5  0 0 2
29.68  100.0  2 -1 1
38.01  45.0  2 -1 2
43.12  10.9  3 -1 1
46.58  26.8  3 0 0
49.22  24.3  1 1 3
56.21  12.3  2 2 1

=====

No. 2
Structure and simulated XRD peak list of Na2MnBr6 (the PBE geometry in Alexandria; copper Kα).
No peak broadening, texture or thermal motion is included.

Cell and atoms:
Unit cell a=7.010 b=7.359 c=12.059 alpha=90.00 beta=124.06 gamma=90.00
Space group P2_1/c (No. 14)
Unique sites:
Na (0.207, 0.094, 0.236)
Mn (0.500, 0.000, 0.000)
Br (0.160, 0.182, 0.944)
Br (0.276, 0.718, 0.949)
Br (0.378, 0.020, 0.765)

Principal peaks in the range 2θ from 10° to 80°, by angle:
2θ/deg  I_rel  index
14.95  62.5  0 1 1
17.48  45.7  1 1 -1
28.21  48.3  2 1 -2
28.72  43.7  1 2 0
29.41  91.7  1 0 2
30.00  84.1  1 0 -4
30.17  100.0  0 2 2
35.38  49.4  2 2 -2
38.89  42.2  1 3 -1
53.65  39.6  2 3 -5

=====

No. 3
Structure and simulated XRD peak list of NaMnBr (the PBE geometry in Alexandria; copper Kα).
No peak broadening, texture or thermal motion is included.

Cell and atoms:
Unit cell a=3.8702 b=3.8702 c=34.6793 alpha=90.00 beta=90.00 gamma=120.00
Space group R3m (No. 160, hexagonal axes)
Unique sites:
Na (0.0000, 0.0000, 0.0000)
Na (0.0000, 0.0000, 0.2245)
Mn (0.0000, 0.0000, 0.4051)
Mn (0.0000, 0.0000, 0.7682)
Br (0.0000, 0.0000, 0.6123)
Br (0.0000, 0.0000, 0.8389)

Principal peaks in the range 2θ from 10° to 80°, by angle:
2θ/deg  I_rel  index
23.08  20.2  0 0 9
26.72  34.0  1 0 1
28.55  16.7  1 0 4
29.60  100.0  0 1 5
33.80  18.0  0 1 8
43.35  33.1  1 0 13
45.53  21.6  0 1 14
46.95  45.6  1 1 0
56.49  14.8  2 0 5
68.76  12.7  1 1 18

=====

No. 4
Structure and simulated XRD peak list of Na2MnPdBr6 (the PBE geometry in Alexandria; copper Kα).
No peak broadening, texture or thermal motion is included.

Cell and atoms:
Unit cell a=7.1192 b=7.1192 c=18.4150 alpha=90.00 beta=90.00 gamma=120.00
Space group R3 (No. 146, hexagonal axes)
Unique sites:
Na (0.0000, 0.0000, 0.0000)
Na (0.0000, 0.0000, 0.4984)
Mn (0.0000, 0.0000, 0.7966)
Pd (0.0000, 0.0000, 0.2967)
Br (0.0085, 0.6103, 0.5484)
Br (0.0610, 0.3342, 0.3836)

Principal peaks in the range 2θ from 10° to 80°, by angle:
2θ/deg  I_rel  index
17.31  58.2  0 1 2
29.01  100.0  2 -1 3
35.03  35.9  0 2 4
38.74  47.7  1 1 6
38.96  14.0  3 -1 1
44.06  27.0  3 0 0
51.52  17.0  1 1 9
53.84  12.0  1 3 1
54.59  11.9  3 1 2
69.53  10.3  5 -2 4

=====

No. 5
Structure and simulated XRD peak list of Rb3NaMn2Br8 (the PBE geometry in Alexandria; copper Kα).
No peak broadening, texture or thermal motion is included.

Cell and atoms:
Unit cell a=7.8984 b=7.8984 c=9.8162 alpha=90.00 beta=90.00 gamma=120.00
Space group P-3m1 (No. 164)
Unique sites:
Rb (0.0000, 0.0000, 0.0000)
Rb (0.3333, 0.6667, 0.6171)
Na (0.0000, 0.0000, 0.5000)
Mn (0.3333, 0.6667, 0.2046)
Br (0.1667, 0.3335, 0.3121)
Br (0.3333, 0.6667, 0.9571)

Principal peaks in the range 2θ from 10° to 80°, by angle:
2θ/deg  I_rel  index
22.51  63.6  1 1 0
26.05  36.3  2 0 0
27.25  34.6  0 0 3
27.62  100.0  0 2 1
29.02  35.7  1 1 2
30.28  46.3  1 0 3
31.89  81.6  2 0 2
44.67  30.6  2 1 3
45.49  46.2  0 2 4
45.96  63.7  2 2 0

=====

No. 6
Structure and simulated XRD peak list of MnNi2Br (the PBE geometry in Alexandria; copper Kα).
No peak broadening, texture or thermal motion is included.

Cell and atoms:
Unit cell a=3.174 b=3.174 c=6.413 alpha=90.00 beta=90.00 gamma=90.00
Space group P4mm (No. 99)
Unique sites:
Mn (0.000, 0.000, 0.000)
Ni (0.000, 0.000, 0.372)
Ni (0.500, 0.500, 0.228)
Br (0.500, 0.500, 0.738)

Principal peaks in the range 2θ from 10° to 80°, by angle:
2θ/deg  I_rel  index
13.81  8.4  0 0 1
27.82  13.1  0 0 2
31.45  17.0  1 0 1
39.97  100.0  1 0 2
40.18  73.9  1 1 0
49.58  10.4  1 1 2
51.54  12.3  1 0 3
58.13  23.4  2 0 0
65.19  11.4  1 0 4
72.87  30.7  2 1 2

=====

No. 7
Structure and simulated XRD peak list of MnNiBr4 (the PBE geometry in Alexandria; copper Kα).
No peak broadening, texture or thermal motion is included.

Cell and atoms:
Unit cell a=7.531 b=7.793 c=10.780 alpha=90.00 beta=90.00 gamma=90.00
Space group Imma (No. 74)
Unique sites:
Mn (0.000, 0.000, 0.000)
Ni (0.250, 0.250, 0.250)
Br (0.000, 0.025, 0.249)
Br (0.246, 0.250, 0.010)

Principal peaks in the range 2θ from 10° to 80°, by angle:
2θ/deg  I_rel  index
14.02  43.7  0 1 1
28.26  30.3  0 2 2
28.92  30.8  2 0 2
33.08  100.0  2 2 0
33.25  49.9  0 0 4
46.62  16.6  0 4 0
47.61  67.7  2 2 4
48.34  17.1  4 0 0
58.45  16.0  0 4 4
59.94  20.4  4 0 4

=====

No. 8
Structure and simulated XRD peak list of RbMnNiBr6 (the PBE geometry in Alexandria; copper Kα).
No peak broadening, texture or thermal motion is included.

Cell and atoms:
Unit cell a=6.6773 b=6.6773 c=7.7744 alpha=90.00 beta=90.00 gamma=120.00
Space group P312 (No. 149)
Unique sites:
Rb (0.0000, 0.0000, 0.0000)
Mn (0.6667, 0.3333, 0.5000)
Ni (0.3333, 0.6667, 0.5000)
Br (0.0036, 0.3783, 0.6886)

Principal peaks in the range 2θ from 10° to 80°, by angle:
2θ/deg  I_rel  index
11.38  55.7  0 0 1
19.13  63.5  1 0 1
29.11  100.0  1 1 1
35.44  92.7  2 -1 2
42.99  22.9  3 -1 1
44.24  19.4  1 1 3
47.13  50.6  3 0 0
54.64  23.3  1 1 4
58.79  17.9  3 1 1
60.34  13.4  2 2 2

=====

- Number 5 is which compound?
  Rb3NaMn2Br8

=====

Copy entry 8 word for word.
Structure and simulated XRD peak list of RbMnNiBr6 (the PBE geometry in Alexandria; copper Kα).
No peak broadening, texture or thermal motion is included.

Cell and atoms:
Unit cell a=6.6773 b=6.6773 c=7.7744 alpha=90.00 beta=90.00 gamma=120.00
Space group P312 (No. 149)
Unique sites:
Rb (0.0000, 0.0000, 0.0000)
Mn (0.6667, 0.3333, 0.5000)
Ni (0.3333, 0.6667, 0.5000)
Br (0.0036, 0.3783, 0.6886)

Principal peaks in the range 2θ from 10° to 80°, by angle:
2θ/deg  I_rel  index
11.38  55.7  0 0 1
19.13  63.5  1 0 1
29.11  100.0  1 1 1
35.44  92.7  2 -1 2
42.99  22.9  3 -1 1
44.24  19.4  1 1 3
47.13  50.6  3 0 0
54.64  23.3  1 1 4
58.79  17.9  3 1 1
60.34  13.4  2 2 2